Diffraction record for Li4V5Sb3O16. The powder diffractogram is computed, not measured: it uses DFT lattice parameters and positions (PBE+U) and λ = 1.5418 Å (Cu Kα).
Peak positions follow from Bragg's law for the DFT cell and can differ from measured ones.

The 10 most intense peaks (5° ≤ 2θ ≤ 70°), in order of rising 2θ:
| 2θ (°) | I/Imax |
| --- | --- |
| 18.15 | 100.0 |
| 18.79 | 42.3 |
| 18.93 | 20.8 |
| 19.06 | 29.3 |
| 24.65 | 19.7 |
| 34.01 | 23.7 |
| 34.39 | 23.0 |
| 34.55 | 29.4 |
| 43.73 | 26.5 |
| 58.86 | 22.8 |

Crystal structure
a = 6.134 Å, b = 6.219 Å, c = 9.779 Å
α = 90.86°, β = 90.03°, γ = 118.93°
Positions (direct):
Li1 0.000 0.000 0.000
Li2 0.007 0.001 0.508
Li3 0.330 0.647 0.408
Li4 0.668 0.323 0.891
V1 0.177 0.326 0.722
V2 0.362 0.667 0.987
V3 0.673 0.822 0.720
V4 0.682 0.309 0.496
V5 0.839 0.157 0.219
Sb1 0.179 0.820 0.721
Sb2 0.349 0.158 0.220
Sb3 0.841 0.651 0.220
O1 0.016 0.988 0.820
O2 0.029 0.012 0.324
O3 0.052 0.521 0.848
O4 0.174 0.312 0.111
O5 0.193 0.849 0.097
O6 0.331 0.144 0.613
O7 0.335 0.657 0.611
O8 0.488 0.952 0.843
O9 0.490 0.521 0.845
O10 0.506 0.442 0.359
O11 0.522 0.019 0.339
O12 0.654 0.297 0.101
O13 0.682 0.848 0.100
O14 0.845 0.149 0.616
O15 0.855 0.673 0.609
O16 0.959 0.439 0.358


Diffraction record for La4MgFeO8. The powder diffractogram is computed, not measured: it uses DFT lattice parameters and positions (PBE+U) and λ = 1.5418 Å (Cu Kα).
Peak positions follow from Bragg's law for the DFT cell and can differ from measured ones.

The 10 most intense peaks (5° ≤ 2θ ≤ 70°), in order of rising 2θ:
| 2θ (°) | I/Imax |
| --- | --- |
| 23.61 | 48.8 |
| 28.38 | 19.0 |
| 31.10 | 100.0 |
| 31.70 | 40.5 |
| 32.38 | 38.2 |
| 42.61 | 21.6 |
| 43.09 | 31.1 |
| 43.59 | 21.7 |
| 45.94 | 40.7 |
| 56.09 | 19.4 |

Crystal structure
a = 6.870 Å, b = 6.870 Å, c = 5.646 Å
α = 90.04°, β = 90.04°, γ = 132.53°
Positions (direct):
La1 0.137 0.863 0.000
La2 0.362 0.638 0.500
La3 0.638 0.362 0.500
La4 0.863 0.137 0.000
Mg1 0.000 0.000 0.500
Fe1 0.500 0.500 0.000
O1 0.179 0.821 0.500
O2 0.248 0.248 0.256
O3 0.249 0.249 0.745
O4 0.317 0.683 0.000
O5 0.683 0.317 0.000
O6 0.751 0.751 0.255
O7 0.752 0.752 0.744
O8 0.821 0.179 0.500


Diffraction record for WO4. The powder diffractogram is computed, not measured: it uses DFT lattice parameters and positions (PBE+U) and λ = 1.5418 Å (Cu Kα).
Peak positions follow from Bragg's law for the DFT cell and can differ from measured ones.

The 10 most intense peaks (5° ≤ 2θ ≤ 70°), in order of rising 2θ:
| 2θ (°) | I/Imax |
| --- | --- |
| 11.40 | 25.2 |
| 15.02 | 15.5 |
| 18.17 | 100.0 |
| 18.65 | 39.1 |
| 22.91 | 49.7 |
| 24.22 | 25.7 |
| 30.90 | 16.4 |
| 33.16 | 60.2 |
| 39.53 | 20.6 |
| 61.37 | 15.7 |

Crystal structure
a = 5.364 Å, b = 10.312 Å, c = 11.800 Å
α = 90.00°, β = 90.00°, γ = 90.00°
Positions (direct):
W1 0.000 0.000 0.156
W2 0.000 0.000 0.844
W3 0.075 0.265 0.000
W4 0.425 0.765 0.500
W5 0.500 0.500 0.344
W6 0.500 0.500 0.656
W7 0.575 0.235 0.500
W8 0.925 0.735 0.000
O1 0.169 0.924 0.000
O2 0.191 0.160 0.123
O3 0.191 0.160 0.877
O4 0.221 0.681 0.091
O5 0.221 0.681 0.909
O6 0.227 0.934 0.251
O7 0.227 0.934 0.749
O8 0.244 0.907 0.500
O9 0.256 0.407 0.000
O10 0.273 0.434 0.249
O11 0.273 0.434 0.751
O12 0.279 0.181 0.409
O13 0.279 0.181 0.591
O14 0.309 0.660 0.377
O15 0.309 0.660 0.623
O16 0.331 0.424 0.500
O17 0.669 0.576 0.500
O18 0.691 0.340 0.377
O19 0.691 0.340 0.623
O20 0.721 0.819 0.409
O21 0.721 0.819 0.591
O22 0.727 0.566 0.249
O23 0.727 0.566 0.751
O24 0.744 0.593 0.000
O25 0.756 0.093 0.500
O26 0.773 0.066 0.251
O27 0.773 0.066 0.749
O28 0.779 0.319 0.091
O29 0.779 0.319 0.909
O30 0.809 0.840 0.123
O31 0.809 0.840 0.877
O32 0.831 0.076 0.000


Diffraction record for H2WO5. The powder diffractogram is computed, not measured: it uses DFT lattice parameters and positions (PBE+U) and λ = 1.5418 Å (Cu Kα).
Peak positions follow from Bragg's law for the DFT cell and can differ from measured ones.

The 10 most intense peaks (5° ≤ 2θ ≤ 70°), in order of rising 2θ:
| 2θ (°) | I/Imax |
| --- | --- |
| 12.48 | 26.7 |
| 15.67 | 90.9 |
| 16.53 | 100.0 |
| 25.10 | 20.8 |
| 25.75 | 66.9 |
| 28.20 | 59.2 |
| 29.94 | 38.8 |
| 32.86 | 42.2 |
| 38.05 | 27.7 |
| 46.59 | 25.5 |

Crystal structure
a = 7.512 Å, b = 3.954 Å, c = 11.972 Å
α = 90.00°, β = 109.18°, γ = 90.00°
Positions (direct):
H1 0.164 0.219 0.027
H2 0.164 0.281 0.527
H3 0.316 0.558 0.140
H4 0.316 0.942 0.640
H5 0.684 0.058 0.360
H6 0.684 0.442 0.860
H7 0.836 0.719 0.473
H8 0.836 0.781 0.973
W1 0.189 0.071 0.806
W2 0.189 0.429 0.306
W3 0.811 0.571 0.694
W4 0.811 0.929 0.194
O1 0.106 0.571 0.779
O2 0.106 0.929 0.279
O3 0.156 0.085 0.952
O4 0.156 0.415 0.452
O5 0.204 0.071 0.642
O6 0.204 0.429 0.142
O7 0.440 0.624 0.360
O8 0.440 0.876 0.860
O9 0.450 0.246 0.866
O10 0.450 0.254 0.366
O11 0.550 0.746 0.634
O12 0.550 0.754 0.134
O13 0.560 0.124 0.140
O14 0.560 0.376 0.640
O15 0.796 0.571 0.858
O16 0.796 0.929 0.358
O17 0.844 0.585 0.548
O18 0.844 0.915 0.048
O19 0.894 0.071 0.721
O20 0.894 0.429 0.221


Diffraction record for SrCrF4. The powder diffractogram is computed, not measured: it uses DFT lattice parameters and positions (PBE+U) and λ = 1.5418 Å (Cu Kα).
Peak positions follow from Bragg's law for the DFT cell and can differ from measured ones.

The 10 most intense peaks (5° ≤ 2θ ≤ 70°), in order of rising 2θ:
| 2θ (°) | I/Imax |
| --- | --- |
| 15.99 | 4.8 |
| 27.16 | 100.0 |
| 31.04 | 14.6 |
| 35.77 | 7.2 |
| 44.47 | 18.3 |
| 45.40 | 41.7 |
| 52.89 | 29.4 |
| 54.53 | 14.9 |
| 56.02 | 8.0 |
| 67.58 | 4.7 |

Crystal structure
a = 6.880 Å, b = 6.880 Å, c = 6.880 Å
α = 130.49°, β = 130.49°, γ = 72.63°
Positions (direct):
Sr1 0.250 0.250 0.000
Sr2 0.750 0.750 0.000
Cr1 0.000 0.500 0.500
Cr2 0.500 0.000 0.500
F1 0.053 0.553 0.858
F2 0.195 0.053 0.500
F3 0.305 0.805 0.858
F4 0.447 0.305 0.500
F5 0.553 0.695 0.500
F6 0.695 0.195 0.142
F7 0.805 0.947 0.500
F8 0.947 0.447 0.142


Diffraction record for Co3AgP3H2O12. The powder diffractogram is computed, not measured: it uses DFT lattice parameters and positions (PBE+U) and λ = 1.5418 Å (Cu Kα).
Peak positions follow from Bragg's law for the DFT cell and can differ from measured ones.

The 10 most intense peaks (5° ≤ 2θ ≤ 70°), in order of rising 2θ:
| 2θ (°) | I/Imax |
| --- | --- |
| 10.79 | 100.0 |
| 29.39 | 32.8 |
| 29.72 | 24.4 |
| 30.56 | 30.2 |
| 32.47 | 26.2 |
| 32.79 | 69.3 |
| 33.47 | 45.0 |
| 33.89 | 31.2 |
| 34.79 | 24.3 |
| 35.23 | 35.5 |

Crystal structure
a = 8.609 Å, b = 8.609 Å, c = 6.596 Å
α = 106.81°, β = 106.81°, γ = 90.68°
Positions (direct):
Co1 0.128 0.451 0.880
Co2 0.221 0.779 0.750
Co3 0.451 0.128 0.380
Co4 0.549 0.872 0.620
Co5 0.779 0.221 0.250
Co6 0.872 0.549 0.120
Ag1 0.460 0.540 0.250
Ag2 0.540 0.460 0.750
P1 0.166 0.393 0.389
P2 0.181 0.819 0.250
P3 0.393 0.166 0.889
P4 0.607 0.834 0.111
P5 0.819 0.181 0.750
P6 0.834 0.607 0.611
H1 0.111 0.124 0.312
H2 0.124 0.111 0.812
H3 0.876 0.889 0.188
H4 0.889 0.876 0.688
O1 0.002 0.214 0.771
O2 0.048 0.233 0.345
O3 0.100 0.464 0.196
O4 0.170 0.517 0.614
O5 0.214 0.002 0.271
O6 0.220 0.710 0.038
O7 0.233 0.048 0.845
O8 0.290 0.780 0.462
O9 0.337 0.339 0.396
O10 0.339 0.337 0.896
O11 0.464 0.100 0.696
O12 0.483 0.830 0.886
O13 0.517 0.170 0.114
O14 0.536 0.900 0.304
O15 0.661 0.663 0.104
O16 0.663 0.661 0.604
O17 0.710 0.220 0.538
O18 0.767 0.952 0.155
O19 0.780 0.290 0.962
O20 0.786 0.998 0.729
O21 0.830 0.483 0.386
O22 0.900 0.536 0.804
O23 0.952 0.767 0.655
O24 0.998 0.786 0.229


Diffraction record for Mg2Nb2NiO8. The powder diffractogram is computed, not measured: it uses DFT lattice parameters and positions (PBE+U) and λ = 1.5418 Å (Cu Kα).
Peak positions follow from Bragg's law for the DFT cell and can differ from measured ones.

The 10 most intense peaks (5° ≤ 2θ ≤ 70°), in order of rising 2θ:
| 2θ (°) | I/Imax |
| --- | --- |
| 20.38 | 42.9 |
| 23.16 | 43.7 |
| 26.68 | 46.5 |
| 26.79 | 56.2 |
| 27.77 | 53.0 |
| 32.73 | 72.1 |
| 32.89 | 68.8 |
| 34.58 | 100.0 |
| 51.62 | 33.0 |
| 52.08 | 49.1 |

Crystal structure
a = 9.968 Å, b = 9.968 Å, c = 5.180 Å
α = 90.33°, β = 90.33°, γ = 35.05°
Positions (direct):
Mg1 0.086 0.371 0.253
Mg2 0.371 0.086 0.753
Mg3 0.629 0.914 0.247
Mg4 0.914 0.629 0.747
Nb1 0.215 0.556 0.243
Nb2 0.444 0.785 0.257
Nb3 0.556 0.215 0.743
Nb4 0.785 0.444 0.757
Ni1 0.146 0.854 0.750
Ni2 0.854 0.146 0.250
O1 0.045 0.337 0.615
O2 0.065 0.821 0.084
O3 0.179 0.935 0.416
O4 0.207 0.419 0.959
O5 0.316 0.545 0.582
O6 0.337 0.045 0.115
O7 0.419 0.207 0.459
O8 0.455 0.684 0.918
O9 0.545 0.316 0.082
O10 0.581 0.793 0.541
O11 0.663 0.955 0.885
O12 0.684 0.455 0.418
O13 0.793 0.581 0.041
O14 0.821 0.065 0.584
O15 0.935 0.179 0.916
O16 0.955 0.663 0.385